1.
Theoretical X-ray diffraction stick pattern of Na3Au2F8 for a wavelength of 1.5418 Å, from a crystal structure in Alexandria, relaxed with PBE.
Intensities are scaled so that the largest is 100.

Main lines, most intense first (5° ≤ 2θ ≤ 70°):
2θ = 16.52°, I 100; 2θ = 27.43°, I 74; 2θ = 18.70°, I 46; 2θ = 56.62°, I 33; 2θ = 42.79°, I 28; 2θ = 48.49°, I 23; 2θ = 39.19°, I 23; 2θ = 32.19°, I 22; 2θ = 44.14°, I 17; 2θ = 29.90°, I 16

Structure:
```
Na3Au2F8
1.0
3.2516 1.8773 5.8754
-3.2516 1.8773 5.8754
0.0000 -3.7546 5.8754
Na Au F
3 2 8
Direct
0.0000 0.0000 0.0000 Na
0.1900 0.1900 0.1900 Na
0.8100 0.8100 0.8100 Na
0.4280 0.4280 0.4280 Au
0.5720 0.5720 0.5720 Au
0.1891 0.7564 0.7564 F
0.2436 0.2436 0.8109 F
0.2436 0.8109 0.2436 F
0.3119 0.3119 0.3119 F
0.6881 0.6881 0.6881 F
0.7564 0.1891 0.7564 F
0.7564 0.7564 0.1891 F
0.8109 0.2436 0.2436 F
```

---

2.
Theoretical X-ray diffraction stick pattern of Ac13Sn2 for a wavelength of 1.5418 Å, from a crystal structure in Alexandria, relaxed with PBE.
Intensities are scaled so that the largest is 100.

Main lines, most intense first (5° ≤ 2θ ≤ 70°):
2θ = 27.26°, I 100; 2θ = 27.72°, I 92; 2θ = 28.58°, I 78; 2θ = 28.32°, I 71; 2θ = 29.95°, I 70; 2θ = 31.15°, I 55; 2θ = 27.90°, I 37; 2θ = 30.28°, I 32; 2θ = 30.50°, I 32; 2θ = 26.14°, I 28

Structure:
```
Ac13Sn2
1.0
7.6507 0.0000 0.0000
1.3969 9.1069 0.0000
0.4577 4.3541 9.1711
Ac Sn
13 2
Direct
0.0000 0.0000 0.0000 Ac
0.0486 0.4987 0.7010 Ac
0.2088 0.9960 0.5849 Ac
0.2376 0.2017 0.1625 Ac
0.2924 0.6499 0.9570 Ac
0.4470 0.1648 0.8203 Ac
0.4546 0.3952 0.3883 Ac
0.5454 0.6048 0.6117 Ac
0.5530 0.8352 0.1797 Ac
0.7076 0.3501 0.0430 Ac
0.7624 0.7983 0.8375 Ac
0.7912 0.0040 0.4151 Ac
0.9514 0.5013 0.2990 Ac
0.1719 0.7742 0.3637 Sn
0.8281 0.2258 0.6363 Sn
```